Theoretical powder diffraction line list of AcCe2N3 for Cu Kα (λ = 1.5418 Å), from a crystal structure in Alexandria, relaxed with PBE.

Cell and atoms:
a b c (Å): 6.0177 6.0177 6.8404
angles (deg): 90.00 90.00 120.00
Space group P6_3/mcm (No. 193)
Inequivalent atoms, fractional coordinates:
Ac 0.0000 0.0000 0.2500 [2 per cell]
Ce 0.3333 0.6667 0.0000 [4 per cell]
N 0.0000 0.4959 0.2500 [6 per cell]

Top 10 peaks for 10 to 90 degrees two-theta, sorted by position:
hkl 1 1 0, 2θ = 29.69°, I = 100
hkl 1 0 2, 2θ = 31.28°, I = 89
hkl 2 0 2, 2θ = 43.67°, I = 47
hkl 3 0 0, 2θ = 52.69°, I = 21
hkl 2 1 2, 2θ = 53.70°, I = 40
hkl 2 2 0, 2θ = 61.65°, I = 15
hkl 1 1 4, 2θ = 62.47°, I = 25
hkl 3 1 2, 2θ = 70.77°, I = 18
hkl 3 0 4, 2θ = 78.52°, I = 21
hkl 2 2 4, 2θ = 86.12°, I = 23


Theoretical powder diffraction line list of AcCeN for Cu Kα (λ = 1.5418 Å), from a crystal structure in Alexandria, relaxed with PBE.

Cell and atoms:
a b c (Å): 3.7211 3.7211 6.6605
angles (deg): 90.00 90.00 120.00
Space group P3m1 (No. 156)
Inequivalent atoms, fractional coordinates:
Ac 0.0000 0.0000 0.0000 [1 per cell]
Ce 0.6667 0.3333 0.5662 [1 per cell]
N 0.3333 0.6667 0.7311 [1 per cell]

Top 10 peaks for 10 to 90 degrees two-theta, sorted by position:
hkl 0 0 1, 2θ = 13.29°, I = 16
hkl 0 0 2, 2θ = 26.77°, I = 25
hkl 1 0 0, 2θ = 27.68°, I = 22
hkl 0 1 1, 2θ = 30.82°, I = 100
hkl 1 0 2, 2θ = 38.89°, I = 29
hkl 1 1 0, 2θ = 48.96°, I = 20
hkl 0 1 3, 2θ = 49.88°, I = 22
hkl 1 1 2, 2θ = 56.67°, I = 20
hkl 2 0 1, 2θ = 58.98°, I = 16
hkl 1 2 1, 2θ = 80.10°, I = 14


Theoretical powder diffraction line list of AcCePu2N4 for Cu Kα (λ = 1.5418 Å), from a crystal structure in Alexandria, relaxed with PBE.

Cell and atoms:
a b c (Å): 6.2315 3.5829 6.2483
angles (deg): 90.00 109.39 90.00
Space group P2/m (No. 10)
Inequivalent atoms, fractional coordinates:
Ac 0.0000 0.0000 0.0000 [1 per cell]
Ce 0.5000 0.5000 0.0000 [1 per cell]
Pu 0.0000 0.5000 0.5000 [1 per cell]
Pu 0.5000 0.0000 0.5000 [1 per cell]
N 0.2580 0.0000 0.7267 [2 per cell]
N 0.2778 0.5000 0.2872 [2 per cell]

Top 10 peaks for 10 to 90 degrees two-theta, sorted by position:
hkl 0 0 2, 2θ = 30.37°, I = 76
hkl 1 1 -1, 2θ = 30.51°, I = 75
hkl 1 1 1, 2θ = 35.29°, I = 100
hkl 1 1 -3, 2θ = 50.67°, I = 36
hkl 3 1 -1, 2θ = 50.81°, I = 24
hkl 0 2 0, 2θ = 50.98°, I = 12
hkl 1 1 3, 2θ = 60.21°, I = 18
hkl 3 1 1, 2θ = 60.33°, I = 30
hkl 0 2 2, 2θ = 60.50°, I = 23
hkl 2 2 -2, 2θ = 63.50°, I = 12


Theoretical powder diffraction line list of Ac4CeRe3N12 for Cu Kα (λ = 1.5418 Å), from a crystal structure in Alexandria, relaxed with PBE.

Cell and atoms:
a b c (Å): 8.2711 8.2711 8.2711
angles (deg): 90.00 90.00 90.00
Space group Im-3m (No. 229)
Inequivalent atoms, fractional coordinates:
Ac 0.2500 0.2500 0.2500 [8 per cell]
Ce 0.0000 0.0000 0.0000 [2 per cell]
Re 0.0000 0.0000 0.5000 [6 per cell]
N 0.0000 0.0000 0.2682 [12 per cell]
N 0.0000 0.2500 0.5000 [12 per cell]

Top 10 peaks for 10 to 90 degrees two-theta, sorted by position:
hkl 2 0 0, 2θ = 21.49°, I = 1
hkl 2 2 0, 2θ = 30.57°, I = 100
hkl 2 2 2, 2θ = 37.67°, I = 2
hkl 4 0 0, 2θ = 43.78°, I = 24
hkl 4 2 2, 2θ = 54.34°, I = 41
hkl 4 4 0, 2θ = 63.64°, I = 16
hkl 6 2 0, 2θ = 72.24°, I = 18
hkl 6 2 2, 2θ = 76.38°, I = 1
hkl 4 4 4, 2θ = 80.44°, I = 5
hkl 6 4 2, 2θ = 88.45°, I = 23


Theoretical powder diffraction line list of Ac2CeReN5 for Cu Kα (λ = 1.5418 Å), from a crystal structure in Alexandria, relaxed with PBE.

Cell and atoms:
a b c (Å): 7.0858 7.0858 11.9662
angles (deg): 90.00 90.00 90.00
Space group I4/mcm (No. 140)
Inequivalent atoms, fractional coordinates:
Ac 0.1759 0.3241 0.0000 [8 per cell]
Ce 0.0000 0.0000 0.2500 [4 per cell]
Re 0.0000 0.5000 0.2500 [4 per cell]
N 0.0000 0.0000 0.0000 [4 per cell]
N 0.1463 0.3537 0.3448 [16 per cell]

Top 10 peaks for 10 to 90 degrees two-theta, sorted by position:
hkl 2 1 1, 2θ = 29.15°, I = 53
hkl 2 0 2, 2θ = 29.30°, I = 100
hkl 0 0 4, 2θ = 29.87°, I = 40
hkl 2 2 0, 2θ = 35.84°, I = 23
hkl 2 1 3, 2θ = 36.20°, I = 46
hkl 2 2 4, 2θ = 47.33°, I = 20
hkl 2 1 5, 2θ = 47.62°, I = 16
hkl 2 0 6, 2θ = 52.67°, I = 21
hkl 4 0 2, 2θ = 53.93°, I = 26
hkl 4 1 3, 2θ = 58.48°, I = 14


Theoretical powder diffraction line list of Ac2CeSb2N2 for Cu Kα (λ = 1.5418 Å), from a crystal structure in Alexandria, relaxed with PBE.

Cell and atoms:
a b c (Å): 4.5857 4.5857 16.8982
angles (deg): 90.00 90.00 90.00
Space group I4/mmm (No. 139)
Inequivalent atoms, fractional coordinates:
Ac 0.0000 0.0000 0.1065 [4 per cell]
Ce 0.0000 0.0000 0.5000 [2 per cell]
Sb 0.0000 0.0000 0.3034 [4 per cell]
N 0.0000 0.5000 0.0000 [4 per cell]

Top 10 peaks for 10 to 90 degrees two-theta, sorted by position:
hkl 1 1 0, 2θ = 27.51°, I = 76
hkl 1 0 5, 2θ = 32.92°, I = 100
hkl 2 0 0, 2θ = 39.29°, I = 34
hkl 2 1 5, 2θ = 52.17°, I = 55
hkl 2 2 0, 2θ = 56.78°, I = 12
hkl 1 1 10, 2θ = 61.92°, I = 14
hkl 3 1 0, 2θ = 64.23°, I = 14
hkl 3 0 5, 2θ = 67.22°, I = 13
hkl 2 0 10, 2θ = 69.04°, I = 12
hkl 3 2 5, 2θ = 80.73°, I = 16


Theoretical powder diffraction line list of Ac3CeSi2N6 for Cu Kα (λ = 1.5418 Å), from a crystal structure in Alexandria, relaxed with PBE.

Cell and atoms:
a b c (Å): 5.9452 5.9452 6.8916
angles (deg): 90.00 90.00 120.00
Space group P-3m1 (No. 164)
Inequivalent atoms, fractional coordinates:
Ac 0.0000 0.0000 0.0000 [1 per cell]
Ac 0.3333 0.6667 0.6571 [2 per cell]
Ce 0.0000 0.0000 0.5000 [1 per cell]
Si 0.3333 0.6667 0.1946 [2 per cell]
N 0.1770 0.3541 0.2938 [6 per cell]

Top 10 peaks for 10 to 90 degrees two-theta, sorted by position:
hkl 1 0 1, 2θ = 21.54°, I = 60
hkl 1 1 0, 2θ = 30.06°, I = 100
hkl 0 1 2, 2θ = 31.23°, I = 92
hkl 0 2 1, 2θ = 37.29°, I = 26
hkl 2 0 2, 2θ = 43.90°, I = 44
hkl 3 0 0, 2θ = 53.39°, I = 22
hkl 1 2 2, 2θ = 54.12°, I = 39
hkl 1 0 4, 2θ = 56.31°, I = 18
hkl 3 1 2, 2θ = 71.52°, I = 18
hkl 2 1 4, 2θ = 73.40°, I = 17


Theoretical powder diffraction line list of Ac3Ce2ZrN6 for Cu Kα (λ = 1.5418 Å), from a crystal structure in Alexandria, relaxed with PBE.

Cell and atoms:
a b c (Å): 6.2684 10.8551 6.4497
angles (deg): 90.00 108.79 90.00
Space group C2/m (No. 12)
Inequivalent atoms, fractional coordinates:
Ac 0.0000 0.0000 0.0000 [2 per cell]
Ac 0.0000 0.3341 0.0000 [4 per cell]
Ce 0.0000 0.1669 0.5000 [4 per cell]
Zr 0.0000 0.5000 0.5000 [2 per cell]
N 0.2272 0.3417 0.7051 [8 per cell]
N 0.2464 0.5000 0.2885 [4 per cell]

Top 10 peaks for 10 to 90 degrees two-theta, sorted by position:
hkl 0 0 2, 2θ = 29.25°, I = 37
hkl 2 0 0, 2θ = 30.14°, I = 100
hkl 1 3 1, 2θ = 34.68°, I = 94
hkl 2 0 2, 2θ = 49.29°, I = 34
hkl 0 6 0, 2θ = 50.44°, I = 33
hkl 1 3 3, 2θ = 58.35°, I = 17
hkl 3 3 1, 2θ = 59.38°, I = 32
hkl 2 6 0, 2θ = 59.89°, I = 15
hkl 5 3 -1, 2θ = 82.03°, I = 13
hkl 4 6 0, 2θ = 84.48°, I = 15


Theoretical powder diffraction line list of Ac4Ce3NdSe8 for Cu Kα (λ = 1.5418 Å), from a crystal structure in Alexandria, relaxed with PBE.

Cell and atoms:
a b c (Å): 8.6573 8.6573 21.4000
angles (deg): 90.00 90.00 120.00
Space group R-3m (No. 166, hexagonal axes)
Inequivalent atoms, fractional coordinates:
Ac 0.0000 0.0000 0.0000 [3 per cell]
Ac 0.0000 0.5000 0.0000 [9 per cell]
Ce 0.0000 0.5000 0.5000 [9 per cell]
Nd 0.0000 0.0000 0.5000 [3 per cell]
Se 0.0000 0.0000 0.2445 [6 per cell]
Se 0.0009 0.5004 0.7554 [18 per cell]

Top 10 peaks for 10 to 90 degrees two-theta, sorted by position:
hkl 2 0 2, 2θ = 25.17°, I = 21
hkl 0 2 4, 2θ = 29.09°, I = 100
hkl 2 0 8, 2θ = 41.47°, I = 38
hkl 2 2 0, 2θ = 41.73°, I = 38
hkl 2 2 6, 2θ = 49.25°, I = 8
hkl 4 0 4, 2θ = 51.67°, I = 20
hkl 0 4 8, 2θ = 60.29°, I = 13
hkl 2 2 12, 2θ = 68.13°, I = 17
hkl 2 4 4, 2θ = 68.51°, I = 18
hkl 4 2 8, 2θ = 76.01°, I = 13


Theoretical powder diffraction line list of AcCeNi10 for Cu Kα (λ = 1.5418 Å), from a crystal structure in Alexandria, relaxed with PBE.

Cell and atoms:
a b c (Å): 3.9976 4.9807 8.6453
angles (deg): 90.00 90.00 90.00
Space group Pmmm (No. 47)
Inequivalent atoms, fractional coordinates:
Ac 0.0000 0.0000 0.0000 [1 per cell]
Ce 0.0000 0.5000 0.5000 [1 per cell]
Ni 0.0000 0.0000 0.3432 [2 per cell]
Ni 0.0000 0.5000 0.1824 [2 per cell]
Ni 0.5000 0.0000 0.5000 [1 per cell]
Ni 0.5000 0.2528 0.2577 [4 per cell]
Ni 0.5000 0.5000 0.0000 [1 per cell]

Top 10 peaks for 10 to 90 degrees two-theta, sorted by position:
hkl 1 1 1, 2θ = 30.47°, I = 59
hkl 0 2 0, 2θ = 36.03°, I = 34
hkl 0 0 4, 2θ = 41.84°, I = 37
hkl 1 2 0, 2θ = 42.75°, I = 100
hkl 2 0 0, 2θ = 45.37°, I = 26
hkl 2 2 0, 2θ = 59.25°, I = 16
hkl 1 2 4, 2θ = 61.33°, I = 11
hkl 2 0 4, 2θ = 63.42°, I = 21
hkl 1 3 3, 2θ = 69.44°, I = 15
hkl 3 2 0, 2θ = 81.99°, I = 14


Theoretical powder diffraction line list of Ac5CeNi4 for Cu Kα (λ = 1.5418 Å), from a crystal structure in Alexandria, relaxed with PBE.

Cell and atoms:
a b c (Å): 18.3128 4.2114 8.2682
angles (deg): 90.00 104.01 90.00
Space group C2/m (No. 12)
Inequivalent atoms, fractional coordinates:
Ac 0.0000 0.0000 0.0000 [2 per cell]
Ac 0.1614 0.5000 0.8272 [4 per cell]
Ac 0.1674 0.5000 0.3424 [4 per cell]
Ce 0.0000 0.0000 0.5000 [2 per cell]
Ni 0.0012 0.5000 0.2623 [4 per cell]
Ni 0.1624 0.0000 0.5863 [4 per cell]

Top 10 peaks for 10 to 90 degrees two-theta, sorted by position:
hkl 3 1 0, 2θ = 25.96°, I = 62
hkl 4 0 -2, 2θ = 26.08°, I = 31
hkl 2 0 2, 2θ = 26.50°, I = 29
hkl 6 0 0, 2θ = 30.18°, I = 50
hkl 1 1 -2, 2θ = 30.30°, I = 100
hkl 0 2 0, 2θ = 43.00°, I = 58
hkl 5 1 2, 2θ = 43.56°, I = 37
hkl 2 0 -4, 2θ = 43.80°, I = 18
hkl 2 2 2, 2θ = 51.14°, I = 21
hkl 6 2 0, 2θ = 53.39°, I = 21


Theoretical powder diffraction line list of AcCeNpO6 for Cu Kα (λ = 1.5418 Å), from a crystal structure in Alexandria, relaxed with PBE.

Cell and atoms:
a b c (Å): 5.9775 5.9775 10.0739
angles (deg): 90.00 90.00 120.00
Space group P-31c (No. 163)
Inequivalent atoms, fractional coordinates:
Ac 0.0000 0.0000 0.0000 [2 per cell]
Ce 0.3333 0.6667 0.2500 [2 per cell]
Np 0.3333 0.6667 0.7500 [2 per cell]
O 0.0207 0.3691 0.6410 [12 per cell]

Top 10 peaks for 10 to 90 degrees two-theta, sorted by position:
hkl 1 0 2, 2θ = 24.66°, I = 100
hkl 1 1 0, 2θ = 29.90°, I = 54
hkl 0 0 4, 2θ = 35.65°, I = 10
hkl 2 0 2, 2θ = 39.13°, I = 30
hkl 1 1 4, 2θ = 47.19°, I = 43
hkl 2 1 2, 2θ = 50.01°, I = 30
hkl 3 0 0, 2θ = 53.07°, I = 17
hkl 3 0 4, 2θ = 65.58°, I = 12
hkl 4 -1 2, 2θ = 67.88°, I = 13
hkl 4 -2 4, 2θ = 73.72°, I = 11